(1)
Theoretical powder diffraction line list
Compound: Na2MnBeF6
Radiation: Cu Kα (λ = 1.5418 Å)
Structure: a GGA+U-relaxed structure

Peak list (10 most intense, 15° ≤ 2θ ≤ 90°, by angle)
hkl  2θ/deg  d_spacing  Rel. int.
1 0 0  16.70  5.310  45
0 0 1  20.28  4.378  59
1 1 0  23.70  3.754  51
1 1 1  31.39  2.850  100
2 0 0  33.76  2.655  34
2 1 0  37.89  2.375  33
2 0 1  39.70  2.270  53
0 0 2  41.24  2.189  43
2 1 1  43.35  2.087  38
2 2 0  48.49  1.877  92

Cell and atoms:
a b c (Å): 5.310 5.310 4.378
angles (deg): 90.00 90.00 90.00
Space group P4mm (No. 99)
Symmetry-distinct sites (fractional):
Na (0.000, 0.500, 0.000) [2 per cell]
Mn (0.000, 0.000, 0.581) [1 per cell]
Be (0.500, 0.500, 0.552) [1 per cell]
F (0.000, 0.000, 0.103) [1 per cell]
F (0.275, 0.275, 0.652) [4 per cell]
F (0.500, 0.500, 0.199) [1 per cell]


(2)
Theoretical powder diffraction line list
Compound: Be2MoF
Radiation: Cu Kα (λ = 1.5418 Å)
Structure: a GGA+U-relaxed structure

Peak list (10 most intense, 15° ≤ 2θ ≤ 90°, by angle)
hkl  2θ/deg  d_spacing  Rel. int.
0 0 2  22.65  3.925  31
0 1 1  23.38  3.804  53
0 1 2  30.68  2.914  100
1 0 1  36.40  2.468  54
0 1 3  40.22  2.242  46
1 1 -1  40.63  2.221  56
0 2 0  41.53  2.175  34
0 2 1  43.17  2.096  26
1 1 -2  44.80  2.023  36
1 1 3  55.20  1.664  24

Cell and atoms:
a b c (Å): 2.672 4.349 7.872
angles (deg): 90.00 94.27 90.00
Space group P2_1 (No. 4)
Symmetry-distinct sites (fractional):
Be (0.028, 0.000, 0.200) [2 per cell]
Be (0.036, 0.955, 0.633) [2 per cell]
Mo (0.410, 0.515, 0.093) [2 per cell]
F (0.047, 0.109, 0.448) [2 per cell]